(1)
Dy2S2F: calculated powder diffractogram (CuKα), based on a structure optimized by DFT (PBE).

Crystal structure
```
5
Lattice="3.211 0.000 0.000 0.000 3.211 0.000 0.000 0.000 13.332" Properties=species:S:1:pos:R:3 pbc="T T T"
Dy 0.000 0.000 2.234
Dy 0.000 0.000 11.098
S 0.000 0.000 4.760
S 0.000 0.000 8.572
F 0.000 0.000 0.000
```

Top 10 peaks for 5 to 70 degrees two-theta, low angle first:
| 2θ/deg | d/Å | intensity |
| --- | --- | --- |
| 6.6 | 13.332 | 100 |
| 13.3 | 6.666 | 33 |
| 20.0 | 4.444 | 29 |
| 27.8 | 3.211 | 80 |
| 28.6 | 3.121 | 16 |
| 30.9 | 2.893 | 18 |
| 34.5 | 2.602 | 31 |
| 39.7 | 2.270 | 30 |
| 49.9 | 1.827 | 27 |
| 58.1 | 1.588 | 17 |

---

(2)
ThTi2O6: calculated powder diffractogram (CuKα), based on a structure optimized by DFT (PBE).

Crystal structure
```
9
Lattice="4.982 -1.923 0.000 4.982 1.923 0.000 -3.472 0.000 6.186" Properties=species:S:1:pos:R:3 pbc="T T T"
Th 0.000 0.000 0.000
Ti -0.348 0.000 3.757
Ti 6.840 0.000 2.429
O -2.146 0.000 4.267
O 1.368 0.000 2.501
O 0.351 0.000 5.513
O 6.141 0.000 0.674
O 5.124 0.000 3.685
O 8.638 0.000 1.919
```

Top 10 peaks for 5 to 70 degrees two-theta, low angle first:
| 2θ/deg | d/Å | intensity |
| --- | --- | --- |
| 14.3 | 6.186 | 39 |
| 18.3 | 4.840 | 74 |
| 25.3 | 3.518 | 100 |
| 25.9 | 3.437 | 55 |
| 28.9 | 3.093 | 27 |
| 30.4 | 2.942 | 42 |
| 31.7 | 2.827 | 38 |
| 34.6 | 2.591 | 32 |
| 35.7 | 2.513 | 41 |
| 47.0 | 1.933 | 25 |

---

(3)
CeCu5Au: calculated powder diffractogram (CuKα), based on a structure optimized by DFT (PBE).

Crystal structure
```
28
Lattice="8.235 0.000 0.000 0.000 5.035 0.000 0.000 0.000 10.379" Properties=species:S:1:pos:R:3 pbc="T T T"
Ce 1.979 1.259 0.670
Ce 2.138 3.776 5.859
Ce 6.097 1.259 4.520
Ce 6.255 3.776 9.710
Cu 0.454 3.776 1.101
Cu 0.541 0.007 3.249
Cu 0.541 2.511 3.249
Cu 0.739 1.259 5.357
Cu 1.528 1.259 7.751
Cu 2.589 3.776 2.561
Cu 3.378 3.776 0.167
Cu 3.577 2.524 8.438
Cu 3.577 5.029 8.438
Cu 3.664 1.259 6.290
Cu 4.571 3.776 4.089
Cu 4.658 0.007 1.941
Cu 4.658 2.511 1.941
Cu 4.856 1.259 10.212
Cu 5.645 1.259 7.818
Cu 6.707 3.776 2.629
Cu 7.496 3.776 5.022
Cu 7.694 2.524 7.131
Cu 7.694 5.029 7.131
Cu 7.781 1.259 9.279
Au 1.148 3.776 8.947
Au 2.969 1.259 3.758
Au 5.265 3.776 6.622
Au 7.086 1.259 1.432
```

Top 10 peaks for 5 to 70 degrees two-theta, low angle first:
| 2θ/deg | d/Å | intensity |
| --- | --- | --- |
| 31.4 | 2.852 | 23 |
| 33.2 | 2.695 | 21 |
| 35.7 | 2.518 | 29 |
| 36.3 | 2.475 | 23 |
| 38.4 | 2.346 | 100 |
| 41.3 | 2.186 | 25 |
| 43.0 | 2.103 | 29 |
| 45.0 | 2.012 | 54 |
| 45.9 | 1.976 | 32 |
| 66.6 | 1.404 | 23 |

---

(4)
Cr7Se10: calculated powder diffractogram (CuKα), based on a structure optimized by DFT (PBE).

Crystal structure
```
34
Lattice="29.808 -1.832 0.000 29.808 1.832 0.000 -0.535 0.000 6.348" Properties=species:S:1:pos:R:3 pbc="T T T"
Cr 2.793 0.000 0.193
Cr 5.855 0.000 0.603
Cr 8.964 0.000 1.095
Cr 14.656 0.000 1.443
Cr 17.729 0.000 1.906
Cr 20.809 0.000 2.365
Cr 26.590 0.000 2.750
Cr 32.491 0.000 3.598
Cr 38.273 0.000 3.983
Cr 41.353 0.000 4.442
Cr 44.426 0.000 4.905
Cr 50.118 0.000 5.253
Cr 53.227 0.000 5.745
Cr 56.288 0.000 6.155
Se 1.495 0.000 2.338
Se 4.080 0.000 4.723
Se 7.168 0.000 2.880
Se 9.895 0.000 5.282
Se 13.207 0.000 3.607
Se 15.928 0.000 5.998
Se 18.995 0.000 4.158
Se 22.243 0.000 0.200
Se 24.969 0.000 4.864
Se 28.244 0.000 0.904
Se 30.838 0.000 5.444
Se 34.112 0.000 1.484
Se 36.839 0.000 6.148
Se 40.087 0.000 2.190
Se 43.154 0.000 0.350
Se 45.875 0.000 2.741
Se 49.187 0.000 1.066
Se 51.914 0.000 3.468
Se 55.002 0.000 1.625
Se 57.587 0.000 4.010
```

Top 10 peaks for 5 to 70 degrees two-theta, low angle first:
| 2θ/deg | d/Å | intensity |
| --- | --- | --- |
| 31.6 | 2.834 | 25 |
| 31.8 | 2.814 | 100 |
| 32.2 | 2.783 | 94 |
| 41.4 | 2.182 | 47 |
| 41.9 | 2.157 | 35 |
| 42.1 | 2.148 | 22 |
| 49.6 | 1.837 | 54 |
| 49.8 | 1.832 | 28 |
| 54.9 | 1.672 | 23 |
| 60.5 | 1.530 | 19 |

---

(5)
KMgAg2SbS4: calculated powder diffractogram (CuKα), based on a structure optimized by DFT (PBE).

Crystal structure
```
9
Lattice="4.606 -4.308 0.000 4.606 4.308 0.000 -3.383 0.000 5.894" Properties=species:S:1:pos:R:3 pbc="T T T"
K 0.000 0.000 0.000
Mg 4.606 0.335 0.000
Ag 1.657 -2.324 2.198
Ag 4.173 -2.324 3.696
Sb 2.915 1.435 2.947
S 2.580 1.746 0.270
S 1.069 -0.228 3.417
S 3.249 1.746 5.624
S 4.760 -0.228 2.476
```

Top 10 peaks for 5 to 70 degrees two-theta, low angle first:
| 2θ/deg | d/Å | intensity |
| --- | --- | --- |
| 15.1 | 5.885 | 100 |
| 17.0 | 5.214 | 43 |
| 20.6 | 4.308 | 70 |
| 25.0 | 3.556 | 41 |
| 25.6 | 3.478 | 35 |
| 28.7 | 3.115 | 68 |
| 31.0 | 2.889 | 78 |
| 35.3 | 2.545 | 37 |
| 38.9 | 2.315 | 56 |
| 45.2 | 2.005 | 54 |

---

(6)
CaSe2O7: calculated powder diffractogram (CuKα), based on a structure optimized by DFT (PBE).

Crystal structure
```
20
Lattice="7.245 0.000 0.000 0.625 7.242 0.000 2.256 0.968 6.867" Properties=species:S:1:pos:R:3 pbc="T T T"
Ca 2.739 2.886 2.617
Ca 7.387 5.323 4.250
Se 2.253 6.554 1.780
Se 4.691 3.531 5.927
Se 5.435 4.679 0.941
Se 7.874 1.655 5.087
O 2.232 0.965 4.874
O 2.195 5.232 2.842
O 1.719 2.995 0.493
O 2.544 0.517 2.525
O 3.518 2.898 4.858
O 5.262 4.854 5.086
O 4.243 5.803 0.601
O 5.883 2.407 6.266
O 4.864 3.355 1.781
O 6.608 5.311 2.009
O 7.582 7.692 4.342
O 8.407 5.214 6.374
O 7.932 2.977 4.026
O 7.894 7.245 1.993
```

Top 10 peaks for 5 to 70 degrees two-theta, low angle first:
| 2θ/deg | d/Å | intensity |
| --- | --- | --- |
| 15.2 | 5.814 | 79 |
| 18.2 | 4.876 | 100 |
| 19.1 | 4.647 | 85 |
| 23.6 | 3.769 | 33 |
| 25.2 | 3.530 | 47 |
| 25.9 | 3.438 | 49 |
| 26.3 | 3.390 | 88 |
| 27.6 | 3.232 | 63 |
| 28.5 | 3.130 | 44 |
| 32.4 | 2.761 | 63 |